Entry 1:
NaYTe2O8: theoretical powder diffractogram (Cu Kα), based on a PBE-relaxed structure.
Peak positions follow from Bragg's law for the DFT cell and can differ from measured ones.

Largest 10 diffraction maxima, by angle, 5° ≤ 2θ ≤ 70°:
18.50 deg, I 28.7
28.54 deg, I 100.0
28.87 deg, I 10.9
31.27 deg, I 12.3
33.94 deg, I 16.0
46.82 deg, I 32.4
48.76 deg, I 15.3
53.99 deg, I 16.2
57.47 deg, I 26.7
59.08 deg, I 11.0

Crystal structure
Unit cell a=6.832 b=6.832 c=6.832 alpha=134.52 beta=134.52 gamma=66.28
Element x y z (fractional)
Na 0.000 0.000 0.000
Y 0.250 0.750 0.500
Te 0.500 0.500 0.000
Te 0.750 0.250 0.500
O 0.010 0.088 0.433
O 0.249 0.658 0.085
O 0.342 0.426 0.591
O 0.423 0.990 0.078
O 0.574 0.165 0.915
O 0.655 0.577 0.567
O 0.835 0.751 0.409
O 0.912 0.345 0.922

=====

Entry 2:
DyLu2Re: theoretical powder diffractogram (Cu Kα), based on a PBE-relaxed structure.
Peak positions follow from Bragg's law for the DFT cell and can differ from measured ones.

Largest 10 diffraction maxima, by angle, 5° ≤ 2θ ≤ 70°:
32.11 deg, I 58.7
32.70 deg, I 39.1
33.04 deg, I 100.0
35.31 deg, I 19.4
37.77 deg, I 22.3
42.58 deg, I 35.5
48.47 deg, I 16.0
50.63 deg, I 39.0
58.15 deg, I 34.1
67.99 deg, I 41.3

Crystal structure
Unit cell a=3.173 b=3.173 c=33.447 alpha=90.00 beta=90.00 gamma=120.00
Element x y z (fractional)
Dy 0.000 0.000 0.000
Dy 0.333 0.667 0.667
Dy 0.667 0.333 0.333
Lu 0.000 0.000 0.420
Lu 0.000 0.000 0.580
Lu 0.333 0.667 0.087
Lu 0.333 0.667 0.246
Lu 0.667 0.333 0.754
Lu 0.667 0.333 0.913
Re 0.000 0.000 0.500
Re 0.333 0.667 0.167
Re 0.667 0.333 0.833